For LiVOF3, the GGA+U geometry in the Materials Project gives the theoretical X-ray diffraction stick pattern in this record (copper Kα).
Kinematic intensities with the Lorentz-polarization factor, no thermal factor.

```
LiVOF3
1.0
4.989 0.000 0.000
0.000 5.167 0.000
0.000 0.000 11.539
Li V O F
4 4 4 12
Direct
0.000 0.000 0.000
0.000 0.000 0.408
0.000 0.500 0.500
0.000 0.500 0.908
0.000 0.000 0.695
0.000 0.500 0.195
0.500 0.000 0.830
0.500 0.500 0.330
0.194 0.197 0.803
0.194 0.303 0.303
0.806 0.697 0.303
0.806 0.803 0.803
0.137 0.206 0.569
0.137 0.294 0.069
0.312 0.709 0.438
0.312 0.791 0.938
0.315 0.719 0.205
0.315 0.781 0.705
0.685 0.219 0.705
0.685 0.281 0.205
0.688 0.209 0.938
0.688 0.291 0.438
0.863 0.706 0.069
0.863 0.794 0.569
```

The 10 most intense peaks (5 to 70 degrees two-theta), in order of falling intensity:
(hkl), d (Å), I (rel.)
0 1 1, 4.716, 100
1 1 4, 2.248, 42
2 2 0, 1.795, 39
1 0 2, 3.774, 31
1 1 3, 2.624, 27
0 0 2, 5.770, 27
1 1 1, 3.427, 15
3 0 4, 1.441, 14
2 1 1, 2.205, 10
1 3 3, 1.499, 8